# 1
Diffraction record for NaMgNi2F6. The XRD peak list is theoretical, not measured: it uses a structure optimized by DFT (GGA+U) and Cu Kα.

Crystal structure
```
data_NaMgNi2F6
_space_group_name_H-M_alt 'P 1'
_space_group_IT_number 1
_cell_length_a 5.2283
_cell_length_b 5.3808
_cell_length_c 5.6537
_cell_angle_alpha 66.49
_cell_angle_beta 88.28
_cell_angle_gamma 61.07
loop_
_space_group_symop_operation_xyz
'x,y,z'
loop_
_atom_site_label
_atom_site_type_symbol
_atom_site_fract_x
_atom_site_fract_y
_atom_site_fract_z
Na1 Na 0.0000 0.0000 0.0000
Mg1 Mg 0.5459 0.9289 0.5559
Ni1 Ni 0.2322 0.5582 0.6020
Ni2 Ni 0.7277 0.5461 0.1353
F1 F 0.2022 0.9738 0.3717
F2 F 0.3135 0.1204 0.7866
F3 F 0.4885 0.3649 0.3693
F4 F 0.5830 0.4980 0.8138
F5 F 0.8405 0.7261 0.3575
F6 F 0.9290 0.7361 0.8141
```

The 6 most intense peaks (5° ≤ 2θ ≤ 70°), in order of rising 2θ:
21.00 deg, rel. 100.0, hkl 0 1 0
23.04 deg, rel. 89.4, hkl 1 1 1
23.67 deg, rel. 79.8, hkl 1 0 -1
29.14 deg, rel. 93.6, hkl 1 0 1
33.52 deg, rel. 99.6, hkl -1 1 1
47.03 deg, rel. 84.6, hkl 1 2 -1



# 2
Diffraction record for Na3MgNi2F9. The XRD peak list is theoretical, not measured: it uses a structure optimized by DFT (GGA+U) and Cu Kα.

Crystal structure
```
data_Na3MgNi2F9
_space_group_name_H-M_alt 'P 1'
_space_group_IT_number 1
_cell_length_a 5.6146
_cell_length_b 5.6146
_cell_length_c 6.8850
_cell_angle_alpha 90.00
_cell_angle_beta 90.00
_cell_angle_gamma 120.00
loop_
_space_group_symop_operation_xyz
'x,y,z'
loop_
_atom_site_label
_atom_site_type_symbol
_atom_site_fract_x
_atom_site_fract_y
_atom_site_fract_z
Na1 Na 0.0000 0.0000 0.0000
Na2 Na 0.3333 0.6667 0.6834
Na3 Na 0.6667 0.3333 0.3166
Mg1 Mg 0.0000 0.0000 0.5000
Ni1 Ni 0.3333 0.6667 0.1710
Ni2 Ni 0.6667 0.3333 0.8290
F1 F 0.0000 0.5000 0.0000
F2 F 0.1646 0.3292 0.3335
F3 F 0.1646 0.8354 0.3335
F4 F 0.3292 0.1646 0.6665
F5 F 0.5000 0.0000 0.0000
F6 F 0.5000 0.5000 0.0000
F7 F 0.6708 0.8354 0.3335
F8 F 0.8354 0.1646 0.6665
F9 F 0.8354 0.6708 0.6665
```

The 6 most intense peaks (5° ≤ 2θ ≤ 70°), in order of rising 2θ:
22.38 deg, rel. 96.3, hkl 1 0 1
31.86 deg, rel. 100.0, hkl 1 1 0
45.69 deg, rel. 96.2, hkl 2 0 2
51.45 deg, rel. 33.9, hkl 1 1 3
56.78 deg, rel. 38.8, hkl 3 0 0
66.60 deg, rel. 51.3, hkl 2 2 0